Diffraction record for Mo5Ir4. The powder XRD pattern is theoretical, not measured: it uses DFT lattice parameters and positions (PBE) and a wavelength of 1.5418 Å.
Intensities are scaled so that the largest is 1000.

Atomic structure:
a = 6.2247 Å, b = 6.2247 Å, c = 6.2247 Å
α = 95.73°, β = 95.73°, γ = 143.15°
Sites, in units of the cell vectors:
1 Mo 0.0000 0.0000 0.0000
2 Mo 0.3286 0.3286 0.6573
3 Mo 0.3286 0.6714 0.0000
4 Mo 0.6714 0.3286 0.0000
5 Mo 0.6714 0.6714 0.3427
6 Ir 0.0000 0.3309 0.3309
7 Ir 0.0000 0.6691 0.6691
8 Ir 0.3309 0.0000 0.3309
9 Ir 0.6691 0.0000 0.6691

Top 10 peaks for 2θ = 5–70°, sorted by position:
2theta, I_rel
15.00, 108
25.02, 23
30.27, 21
33.07, 70
39.66, 1000
46.12, 486
48.77, 25
50.69, 22
56.17, 17
67.27, 313